# YAl9Fe2
Computed powder XRD pattern, Cu Ka. Input: a DFT-relaxed cell (PBE, Alexandria).

Main lines, most intense first (2θ from 10° to 90°):
| 2θ (°) | I/Imax |
| --- | --- |
| 37.9 | 100 |
| 22.9 | 47 |
| 33.2 | 45 |
| 46.9 | 33 |
| 41.1 | 27 |
| 44.8 | 25 |
| 33.8 | 16 |
| 68.5 | 15 |
| 48.1 | 15 |
| 29.1 | 14 |

Structure:
```
YAl9Fe2
1.0
-5.302 5.302 3.369
5.302 -5.302 3.369
5.302 5.302 -3.369
Y Al Fe
2 18 4
direct
0.375 0.625 0.750
0.625 0.375 0.250
0.125 0.875 0.250
0.139 0.569 0.325
0.139 0.814 0.570
0.186 0.256 0.325
0.186 0.861 0.930
0.256 0.186 0.825
0.256 0.431 0.070
0.431 0.256 0.570
0.431 0.861 0.175
0.569 0.139 0.825
0.569 0.744 0.430
0.744 0.569 0.930
0.744 0.814 0.175
0.814 0.139 0.070
0.814 0.744 0.675
0.861 0.186 0.430
0.861 0.431 0.675
0.875 0.125 0.750
0.000 0.000 0.000
0.000 0.000 0.500
0.000 0.500 0.000
0.500 0.000 0.500
```